For MgScMoS4, a crystal structure in the Materials Project, relaxed with PBE gives the theoretical PXRD pattern in this record (Cu Kα (weighted mean of Kα1 and Kα2)).

Structural model:
Lattice parameters (Å, degrees): 7.463 7.520 10.554 90.00 90.00 90.00
Space group Imma (No. 74)
Unique sites:
1 Mg 0.000 0.250 0.128
2 Sc 0.250 0.250 0.750
3 Mo 0.000 0.000 0.500
4 S 0.000 0.014 0.739
5 S 0.226 0.250 0.504

The 10 most intense peaks (2θ = 15–90°), by angle:
Position (°2θ)	Rel. int.
23.83	17
27.88	58
28.02	56
33.84	86
33.98	43
44.52	32
44.61	17
48.42	21
48.73	100
51.12	16